FeS4N4Cl3: calculated powder diffraction line list (Cu Ka), based on a cell relaxed with GGA-PBE.
Neutral-atom scattering factors, no anomalous dispersion.

Most intense lines, 15 to 90 degrees two-theta, low angle first:
2θ = 15.05°, intensity 47, hkl 1 1 0
2θ = 15.55°, intensity 65, hkl 1 1 -1
2θ = 17.45°, intensity 51, hkl 1 1 1
2θ = 21.89°, intensity 40, hkl 1 2 -2
2θ = 24.21°, intensity 43, hkl 1 3 -1
2θ = 26.38°, intensity 100, hkl 1 3 -2
2θ = 28.71°, intensity 35, hkl 1 3 2
2θ = 29.21°, intensity 31, hkl 1 1 -4
2θ = 29.60°, intensity 84, hkl 1 2 3
2θ = 30.07°, intensity 57, hkl 2 2 -1

Structure:
a = 6.622 Å, b = 13.612 Å, c = 13.240 Å
α = 90.00°, β = 99.70°, γ = 90.00°
Space group P2_1/c (No. 14)
Unique sites:
Fe: 0.223 0.011 0.189
S: 0.039 0.716 0.327
S: 0.122 0.590 0.178
S: 0.234 0.163 0.470
S: 0.330 0.204 0.807
N: 0.009 0.104 0.225
N: 0.018 0.118 0.429
N: 0.138 0.209 0.719
N: 0.364 0.213 0.393
Cl: 0.097 0.609 0.586
Cl: 0.363 0.551 0.838
Cl: 0.438 0.100 0.120